1.
Calculated powder diffraction line list
Compound: AcMgZn2
Radiation: Cu Kα, 1.54184 Å
Structure: a DFT-relaxed cell (PBE, the Materials Project)
Peak positions follow from Bragg's law for the DFT cell and can differ from measured ones.

Crystal structure
```
4
Lattice="0.0000 3.6627 3.6627 3.6627 0.0000 3.6627 3.6627 3.6627 0.0000" Properties=species:S:1:pos:R:3 pbc="T T T"
Ac 0.0000 0.0000 0.0000
Mg 3.6627 3.6627 3.6627
Zn 1.8313 1.8313 1.8313
Zn 5.4940 5.4940 5.4940
```

Largest 10 diffraction maxima, by angle, 15° ≤ 2θ ≤ 90°:
Position (°2θ), I_rel
21.0, 57
34.6, 100
40.9, 32
49.8, 18
54.6, 14
62.1, 37
66.3, 11
73.1, 11
77.0, 11
83.5, 16

***

2.
Calculated powder diffraction line list
Compound: CoSbS
Radiation: Cu Kα, 1.54184 Å
Structure: a DFT-relaxed cell (PBE, the Materials Project)
Peak positions follow from Bragg's law for the DFT cell and can differ from measured ones.

Crystal structure
```
24
Lattice="5.8603 0.0000 0.0000 0.0000 5.9360 0.0000 0.0000 0.0000 11.6982" Properties=species:S:1:pos:R:3 pbc="T T T"
Co 0.0975 1.0587 1.6511
Co 0.0975 1.9093 7.5002
Co 2.8326 4.0267 1.6511
Co 2.8326 4.8773 7.5002
Co 3.0276 1.0587 4.1980
Co 3.0276 1.9093 10.0472
Co 5.7628 4.0267 4.1980
Co 5.7628 4.8773 10.0472
Sb 0.7655 1.1458 10.8833
Sb 0.7655 1.8222 5.0341
Sb 2.1647 4.1138 10.8833
Sb 2.1647 4.7902 5.0341
Sb 3.6956 1.1458 6.6641
Sb 3.6956 1.8222 0.8150
Sb 5.0948 4.1138 6.6641
Sb 5.0948 4.7902 0.8150
S 0.7441 3.2757 2.1776
S 0.7441 5.6283 8.0268
S 2.1860 0.3077 2.1776
S 2.1860 2.6603 8.0268
S 3.6743 3.2757 3.6715
S 3.6743 5.6283 9.5206
S 5.1161 0.3077 3.6715
S 5.1161 2.6603 9.5206
```

Largest 10 diffraction maxima, by angle, 15° ≤ 2θ ≤ 90°:
Position (°2θ), I_rel
21.5, 28
22.6, 31
30.1, 34
30.6, 28
34.1, 60
34.3, 60
34.7, 33
37.5, 100
49.2, 40
51.7, 63